1.
For FeSi24Ge7, a cell relaxed with PBE gives the computed PXRD pattern in this record (Cu Kα (weighted mean of Kα1 and Kα2)).

Cell and atoms:
```
data_FeSi24Ge7
_cell_length_a 6.7344
_cell_length_b 6.7352
_cell_length_c 15.5739
_cell_angle_alpha 89.99
_cell_angle_beta 90.00
_cell_angle_gamma 70.54
_symmetry_space_group_name_H-M 'P 1'
_symmetry_Int_Tables_number 1
_symmetry_space_group_name_Hall 'P 1'
loop_
_atom_site_label
_atom_site_fract_x
_atom_site_fract_y
_atom_site_fract_z
_atom_site_occupancy
Fe1 0.0000 0.0000 0.0000 1
Si1 0.9998 0.5068 0.6234 1
Si2 0.3555 0.8863 0.0013 1
Si3 0.3728 0.3808 0.6230 1
Si4 0.3732 0.8803 0.2470 1
Si5 0.3727 0.8801 0.5011 1
Si6 0.3728 0.8803 0.7462 1
Si7 0.3782 0.3863 0.3747 1
Si8 0.4941 0.5122 0.0001 1
Si9 0.4986 0.0078 0.6237 1
Si10 0.4989 0.5070 0.5000 1
Si11 0.5004 0.5085 0.7448 1
Si12 0.5006 0.0013 0.1230 1
Si13 0.5005 0.5086 0.2506 1
Si14 0.8720 0.3811 0.2478 1
Si15 0.8721 0.3807 0.5011 1
Si16 0.8719 0.3805 0.7453 1
Si17 0.8726 0.8806 0.6242 1
Si18 0.8766 0.8845 0.1185 1
Si19 0.8781 0.8861 0.3735 1
Si20 0.8830 0.8908 0.8796 1
Si21 0.9951 0.5108 0.1257 1
Si22 0.9989 0.0073 0.2464 1
Si23 0.9991 0.0074 0.5000 1
Si24 0.9987 0.0070 0.7489 1
Ge1 0.9996 0.5068 0.3744 1
Ge2 0.3722 0.3795 0.1252 1
Ge3 0.3782 0.3851 0.8726 1
Ge4 0.4986 0.0077 0.3741 1
Ge5 0.5008 0.0002 0.8750 1
Ge6 0.8776 0.3640 0.0015 1
Ge7 0.9942 0.5107 0.8723 1
```

Largest 10 diffraction maxima, in order of falling intensity, 2θ from 10° to 80°:
2θ = 28.09°, I 100
2θ = 46.70°, I 69
2θ = 55.39°, I 41
2θ = 68.18°, I 11
2θ = 75.27°, I 10
2θ = 11.36°, I 8
2θ = 75.33°, I 7
2θ = 19.76°, I 5
2θ = 30.40°, I 4
2θ = 26.87°, I 3

2.
For Fe3SnGe2, a cell relaxed with PBE gives the computed PXRD pattern in this record (Cu Kα (weighted mean of Kα1 and Kα2)).

Cell and atoms:
```
data_Fe3SnGe2
_cell_length_a 5.1681
_cell_length_b 5.1681
_cell_length_c 3.9502
_cell_angle_alpha 90.00
_cell_angle_beta 90.00
_cell_angle_gamma 120.00
_symmetry_space_group_name_H-M 'P 6/m m m'
_symmetry_Int_Tables_number 191
_symmetry_space_group_name_Hall '-P 6 2'
loop_
_atom_site_label
_atom_site_fract_x
_atom_site_fract_y
_atom_site_fract_z
_atom_site_occupancy
Fe1 0.0000 0.5000 0.0000 1
Sn1 0.0000 0.0000 0.0000 1
Ge1 0.3333 0.6667 0.5000 1
```

Largest 10 diffraction maxima, in order of falling intensity, 2θ from 10° to 80°:
2θ = 46.65°, I 100
2θ = 30.18°, I 45
2θ = 34.72°, I 38
2θ = 40.30°, I 27
2θ = 45.95°, I 25
2θ = 22.51°, I 19
2θ = 73.26°, I 18
2θ = 58.85°, I 17
2θ = 59.44°, I 14
2θ = 62.74°, I 14

3.
For Tb4FeGe8, a cell relaxed with PBE gives the computed PXRD pattern in this record (Cu Kα (weighted mean of Kα1 and Kα2)).

Cell and atoms:
```
data_Tb4FeGe8
_cell_length_a 5.7607
_cell_length_b 15.8660
_cell_length_c 12.7146
_cell_angle_alpha 90.00
_cell_angle_beta 115.38
_cell_angle_gamma 90.00
_symmetry_space_group_name_H-M 'P 1 21/c 1'
_symmetry_Int_Tables_number 14
_symmetry_space_group_name_Hall '-P 2ybc'
loop_
_atom_site_label
_atom_site_fract_x
_atom_site_fract_y
_atom_site_fract_z
_atom_site_occupancy
Tb1 0.0597 0.1010 0.4344 1
Tb2 0.1884 0.6070 0.8135 1
Tb3 0.3130 0.1036 0.1881 1
Tb4 0.4345 0.6019 0.5584 1
Fe1 0.1867 0.6984 0.3121 1
Ge1 0.0448 0.7496 0.4487 1
Ge2 0.0629 0.0546 0.9390 1
Ge3 0.1868 0.5475 0.3113 1
Ge4 0.2176 0.2460 0.8234 1
Ge5 0.3130 0.0583 0.6868 1
Ge6 0.3270 0.7500 0.1748 1
Ge7 0.4080 0.2458 0.5531 1
Ge8 0.4388 0.5520 0.0641 1
```

Largest 10 diffraction maxima, in order of falling intensity, 2θ from 10° to 80°:
2θ = 35.54°, I 100
2θ = 35.71°, I 19
2θ = 43.92°, I 19
2θ = 33.90°, I 18
2θ = 45.19°, I 17
2θ = 24.87°, I 16
2θ = 40.87°, I 15
2θ = 75.33°, I 13
2θ = 27.43°, I 9
2θ = 61.54°, I 9

4.
For TbFe6Ge6, a cell relaxed with PBE gives the computed PXRD pattern in this record (Cu Kα (weighted mean of Kα1 and Kα2)).

Cell and atoms:
```
data_TbFe6Ge6
_cell_length_a 8.1759
_cell_length_b 17.7296
_cell_length_c 5.1226
_cell_angle_alpha 90.00
_cell_angle_beta 90.00
_cell_angle_gamma 90.00
_symmetry_space_group_name_H-M 'C m c m'
_symmetry_Int_Tables_number 63
_symmetry_space_group_name_Hall '-C 2c 2'
loop_
_atom_site_label
_atom_site_fract_x
_atom_site_fract_y
_atom_site_fract_z
_atom_site_occupancy
Tb1 0.0000 0.1270 0.2500 1
Fe1 0.2498 0.0000 0.0000 1
Fe2 0.2502 0.1251 0.7500 1
Fe3 0.2500 0.2500 0.0000 1
Ge1 0.0000 0.0422 0.7500 1
Ge2 0.0000 0.2118 0.7500 1
Ge3 0.0000 0.2950 0.2500 1
Ge4 0.0000 0.4587 0.2500 1
Ge5 0.1532 0.3757 0.7500 1
```

Largest 10 diffraction maxima, in order of falling intensity, 2θ from 10° to 80°:
2θ = 41.62°, I 100
2θ = 35.05°, I 71
2θ = 40.69°, I 51
2θ = 46.60°, I 40
2θ = 74.06°, I 28
2θ = 79.72°, I 26
2θ = 44.32°, I 25
2θ = 67.37°, I 23
2θ = 49.08°, I 21
2θ = 37.73°, I 15

5.
For TbTmFe2Ge4, a cell relaxed with PBE gives the computed PXRD pattern in this record (Cu Kα (weighted mean of Kα1 and Kα2)).

Cell and atoms:
```
data_TbTmFe2Ge4
_cell_length_a 4.1727
_cell_length_b 4.0915
_cell_length_c 16.7151
_cell_angle_alpha 90.00
_cell_angle_beta 90.00
_cell_angle_gamma 90.00
_symmetry_space_group_name_H-M 'A m m 2'
_symmetry_Int_Tables_number 38
_symmetry_space_group_name_Hall 'A 2 -2'
loop_
_atom_site_label
_atom_site_fract_x
_atom_site_fract_y
_atom_site_fract_z
_atom_site_occupancy
Tb1 0.0000 0.0000 0.0000 1
Tm1 0.5000 0.0000 0.7804 1
Fe1 0.0000 0.0000 0.2115 1
Fe2 0.5000 0.0000 0.5702 1
Ge1 0.0000 0.0000 0.3458 1
Ge2 0.0000 0.0000 0.6399 1
Ge3 0.5000 0.0000 0.1426 1
Ge4 0.5000 0.0000 0.4348 1
```

Largest 10 diffraction maxima, in order of falling intensity, 2θ from 10° to 80°:
2θ = 34.67°, I 100
2θ = 38.87°, I 22
2θ = 43.37°, I 21
2θ = 44.28°, I 19
2θ = 31.08°, I 15
2θ = 63.71°, I 13
2θ = 56.66°, I 12
2θ = 60.36°, I 12
2θ = 75.26°, I 10
2θ = 54.24°, I 10

6.
For TlFe3Ge5, a cell relaxed with PBE gives the computed PXRD pattern in this record (Cu Kα (weighted mean of Kα1 and Kα2)).

Cell and atoms:
```
data_TlFe3Ge5
_cell_length_a 4.8779
_cell_length_b 4.8779
_cell_length_c 7.9684
_cell_angle_alpha 90.00
_cell_angle_beta 90.00
_cell_angle_gamma 120.00
_symmetry_space_group_name_H-M 'P 6/m m m'
_symmetry_Int_Tables_number 191
_symmetry_space_group_name_Hall '-P 6 2'
loop_
_atom_site_label
_atom_site_fract_x
_atom_site_fract_y
_atom_site_fract_z
_atom_site_occupancy
Tl1 0.0000 0.0000 0.0000 1
Fe1 0.0000 0.5000 0.5000 1
Ge1 0.0000 0.0000 0.5000 1
Ge2 0.3333 0.6667 0.2336 1
```

Largest 10 diffraction maxima, in order of falling intensity, 2θ from 10° to 80°:
2θ = 30.85°, I 100
2θ = 48.80°, I 75
2θ = 36.85°, I 63
2θ = 23.84°, I 40
2θ = 59.96°, I 28
2θ = 62.69°, I 27
2θ = 45.53°, I 23
2θ = 40.10°, I 20
2θ = 38.61°, I 19
2θ = 78.42°, I 14

7.
For Tm9Fe10Ge10, a cell relaxed with PBE gives the computed PXRD pattern in this record (Cu Kα (weighted mean of Kα1 and Kα2)).

Cell and atoms:
```
data_Tm9Fe10Ge10
_cell_length_a 5.3458
_cell_length_b 13.2319
_cell_length_c 13.9594
_cell_angle_alpha 90.00
_cell_angle_beta 90.00
_cell_angle_gamma 90.00
_symmetry_space_group_name_H-M 'I m m m'
_symmetry_Int_Tables_number 71
_symmetry_space_group_name_Hall '-I 2 2'
loop_
_atom_site_label
_atom_site_fract_x
_atom_site_fract_y
_atom_site_fract_z
_atom_site_occupancy
Tm1 0.0000 0.0000 0.0000 1
Tm2 0.0000 0.1466 0.3646 1
Tm3 0.0000 0.2801 0.0000 1
Tm4 0.0000 0.5000 0.1974 1
Fe1 0.0000 0.5000 0.4063 1
Fe2 0.2430 0.3565 0.3460 1
Ge1 0.0000 0.0000 0.2081 1
Ge2 0.0000 0.2877 0.2053 1
Ge3 0.0000 0.3278 0.5000 1
Ge4 0.2470 0.5000 0.0000 1
```

Largest 10 diffraction maxima, in order of falling intensity, 2θ from 10° to 80°:
2θ = 36.90°, I 100
2θ = 32.47°, I 84
2θ = 36.30°, I 81
2θ = 37.46°, I 72
2θ = 39.47°, I 71
2θ = 39.97°, I 61
2θ = 33.53°, I 54
2θ = 63.52°, I 38
2θ = 61.74°, I 36
2θ = 45.79°, I 34

8.
For U2Fe15Ge2, a cell relaxed with PBE gives the computed PXRD pattern in this record (Cu Kα (weighted mean of Kα1 and Kα2)).

Cell and atoms:
```
data_U2Fe15Ge2
_cell_length_a 8.2993
_cell_length_b 8.2993
_cell_length_c 8.5036
_cell_angle_alpha 90.00
_cell_angle_beta 90.00
_cell_angle_gamma 120.00
_symmetry_space_group_name_H-M 'P 63/m m c'
_symmetry_Int_Tables_number 194
_symmetry_space_group_name_Hall '-P 6c 2c'
loop_
_atom_site_label
_atom_site_fract_x
_atom_site_fract_y
_atom_site_fract_z
_atom_site_occupancy
U1 0.0000 0.0000 0.2500 1
U2 0.3333 0.6667 0.2500 1
Fe1 0.0000 0.5000 0.0000 1
Fe2 0.0168 0.3480 0.7500 1
Fe3 0.1645 0.3290 0.0094 1
Ge1 0.3333 0.6667 0.6015 1
```

Largest 10 diffraction maxima, in order of falling intensity, 2θ from 10° to 80°:
2θ = 43.35°, I 100
2θ = 43.62°, I 53
2θ = 30.09°, I 53
2θ = 37.54°, I 52
2θ = 42.52°, I 29
2θ = 40.53°, I 24
2θ = 78.40°, I 23
2θ = 71.76°, I 21
2θ = 21.41°, I 21
2θ = 46.29°, I 19

9.
For Y2Fe3Ge5, a cell relaxed with PBE gives the computed PXRD pattern in this record (Cu Kα (weighted mean of Kα1 and Kα2)).

Cell and atoms:
```
data_Y2Fe3Ge5
_cell_length_a 11.0392
_cell_length_b 12.0037
_cell_length_c 5.7070
_cell_angle_alpha 90.00
_cell_angle_beta 119.56
_cell_angle_gamma 90.00
_symmetry_space_group_name_H-M 'C 1 2/c 1'
_symmetry_Int_Tables_number 15
_symmetry_space_group_name_Hall '-C 2yc'
loop_
_atom_site_label
_atom_site_fract_x
_atom_site_fract_y
_atom_site_fract_z
_atom_site_occupancy
Y1 0.2339 0.1382 0.2367 1
Fe1 0.0000 0.4964 0.7500 1
Fe2 0.0962 0.1434 0.6189 1
Ge1 0.0000 0.0063 0.2500 1
Ge2 0.0000 0.2742 0.2500 1
Ge3 0.0000 0.2881 0.7500 1
Ge4 0.1713 0.4107 0.1750 1
```

Largest 10 diffraction maxima, in order of falling intensity, 2θ from 10° to 80°:
2θ = 43.79°, I 100
2θ = 35.27°, I 87
2θ = 36.19°, I 68
2θ = 37.10°, I 47
2θ = 35.81°, I 41
2θ = 35.13°, I 39
2θ = 65.44°, I 20
2θ = 47.31°, I 20
2θ = 37.46°, I 19
2θ = 40.14°, I 16

10.
For YFe6Ge6, a cell relaxed with PBE gives the computed PXRD pattern in this record (Cu Kα (weighted mean of Kα1 and Kα2)).

Cell and atoms:
```
data_YFe6Ge6
_cell_length_a 8.1547
_cell_length_b 17.7085
_cell_length_c 5.1186
_cell_angle_alpha 90.00
_cell_angle_beta 90.00
_cell_angle_gamma 90.00
_symmetry_space_group_name_H-M 'C m c m'
_symmetry_Int_Tables_number 63
_symmetry_space_group_name_Hall '-C 2c 2'
loop_
_atom_site_label
_atom_site_fract_x
_atom_site_fract_y
_atom_site_fract_z
_atom_site_occupancy
Y1 0.0000 0.1275 0.2500 1
Fe1 0.2493 0.0000 0.0000 1
Fe2 0.2500 0.1248 0.7500 1
Fe3 0.2500 0.2500 0.0000 1
Ge1 0.0000 0.0417 0.7500 1
Ge2 0.0000 0.2114 0.7500 1
Ge3 0.0000 0.2960 0.2500 1
Ge4 0.0000 0.4598 0.2500 1
Ge5 0.1534 0.3757 0.7500 1
```

Largest 10 diffraction maxima, in order of falling intensity, 2θ from 10° to 80°:
2θ = 41.69°, I 100
2θ = 46.67°, I 74
2θ = 35.09°, I 70
2θ = 40.74°, I 51
2θ = 49.19°, I 33
2θ = 74.15°, I 32
2θ = 79.93°, I 28
2θ = 44.44°, I 26
2θ = 67.46°, I 22
2θ = 73.14°, I 14